Starting from a crystal structure in Alexandria, relaxed with PBE, the X-ray diffraction stick pattern of Pr4Sm5Ho was simulated for copper Kα.
Neutral-atom scattering factors, no anomalous dispersion.

Peak list (12 most intense, 10° ≤ 2θ ≤ 80°, by angle)
2theta, intensity
27.78, 21
28.99, 100
30.16, 48
31.77, 34
34.98, 36
37.40, 11
47.23, 14
50.31, 16
52.47, 29
58.35, 13
59.11, 17
67.49, 12

```
Pr4Sm5Ho
1.0
10.881 0.000 0.000
0.000 10.881 0.000
0.000 0.000 5.831
Pr Sm Ho
8 10 2
Direct
0.044 0.750 0.131 Pr
0.250 0.544 0.869 Pr
0.250 0.956 0.869 Pr
0.456 0.750 0.131 Pr
0.544 0.250 0.869 Pr
0.750 0.044 0.131 Pr
0.750 0.456 0.131 Pr
0.956 0.250 0.869 Pr
0.089 0.089 0.337 Sm
0.089 0.411 0.337 Sm
0.250 0.750 0.500 Sm
0.411 0.089 0.337 Sm
0.411 0.411 0.337 Sm
0.589 0.589 0.663 Sm
0.589 0.911 0.663 Sm
0.750 0.250 0.500 Sm
0.911 0.589 0.663 Sm
0.911 0.911 0.663 Sm
0.250 0.250 0.867 Ho
0.750 0.750 0.133 Ho
```

=====

Starting from a crystal structure in Alexandria, relaxed with PBE, the X-ray diffraction stick pattern of YCd2Au6 was simulated for copper Kα.
Neutral-atom scattering factors, no anomalous dispersion.

Peak list (12 most intense, 10° ≤ 2θ ≤ 80°, by angle)
2theta, intensity
26.66, 32
31.11, 45
35.51, 59
37.89, 47
38.19, 29
39.84, 100
41.13, 34
45.83, 29
47.67, 24
53.25, 21
68.52, 36
69.77, 32

```
YCd2Au6
1.0
-1.720 3.861 7.124
1.720 -3.861 7.124
1.720 3.861 -7.124
Y Cd Au
1 2 6
Direct
0.000 0.000 0.000 Y
0.355 0.855 0.500 Cd
0.645 0.145 0.500 Cd
0.003 0.324 0.679 Au
0.319 0.500 0.819 Au
0.356 0.676 0.679 Au
0.644 0.324 0.321 Au
0.681 0.500 0.181 Au
0.997 0.676 0.321 Au
```

=====

Starting from a crystal structure in Alexandria, relaxed with PBE, the X-ray diffraction stick pattern of Ac2HPd6 was simulated for copper Kα.
Neutral-atom scattering factors, no anomalous dispersion.

Peak list (12 most intense, 10° ≤ 2θ ≤ 80°, by angle)
2theta, intensity
20.50, 12
29.15, 11
35.90, 100
41.69, 50
46.89, 6
51.68, 5
60.43, 33
64.52, 3
68.48, 2
72.33, 39
76.10, 11
79.81, 1

```
Ac2HPd6
1.0
0.000 4.333 4.333
4.333 0.000 4.333
4.333 4.333 0.000
Ac H Pd
2 1 6
Direct
0.250 0.250 0.250 Ac
0.750 0.750 0.750 Ac
0.000 0.000 0.000 H
0.250 0.250 0.750 Pd
0.250 0.750 0.250 Pd
0.250 0.750 0.750 Pd
0.750 0.250 0.250 Pd
0.750 0.250 0.750 Pd
0.750 0.750 0.250 Pd
```